Na3MnTe3: computed powder XRD pattern (Cu Ka), based on a PBE-relaxed structure.
Neutral-atom scattering factors, no anomalous dispersion.

Structure:
```
28
Lattice="9.899 -3.366 0.000 9.899 3.366 0.000 0.000 0.000 13.010" Properties=species:S:1:pos:R:3 pbc="T T T"
Na 6.327 2.090 1.642
Na 6.327 1.276 8.147
Na 9.899 2.143 11.107
Na 9.899 1.223 4.602
Na 13.471 2.090 1.642
Na 13.471 1.276 8.147
Na 6.327 -1.276 4.863
Na 6.327 -2.090 11.368
Na 9.899 -1.223 8.408
Na 9.899 -2.143 1.903
Na 13.471 -1.276 4.863
Na 13.471 -2.090 11.368
Mn 1.698 0.000 6.505
Mn 8.201 0.000 0.000
Mn 11.597 0.000 0.000
Mn 18.100 0.000 6.505
Te 6.767 1.944 4.884
Te 6.767 1.422 11.389
Te 9.899 1.923 7.949
Te 9.899 1.443 1.444
Te 13.031 1.944 4.884
Te 13.031 1.422 11.389
Te 6.767 -1.422 1.622
Te 6.767 -1.944 8.127
Te 9.899 -1.443 11.566
Te 9.899 -1.923 5.061
Te 13.031 -1.422 1.622
Te 13.031 -1.944 8.127
```

Top 10 peaks for 15 to 90 degrees two-theta, by angle:
2θ/deg  d_spacing  I_rel
15.48  5.723  21
23.31  3.816  100
26.48  3.366  23
27.02  3.300  29
27.42  3.253  30
38.20  2.356  30
38.48  2.339  33
38.88  2.316  35
46.08  1.970  17
47.66  1.908  17